# 1
# Dy3ReTc8
Computed powder XRD pattern, a wavelength of 1.5418 Å. Input: a DFT-relaxed cell (GGA-PBE, Alexandria).
No peak broadening, texture or thermal motion is included.

Crystal structure
```
12
Lattice="2.6558 1.5333 8.6643 -2.6558 1.5333 8.6643 0.0000 -3.0666 8.6643" Properties=species:S:1:pos:R:3 pbc="T T T"
Dy 0.0000 0.0000 0.0000
Dy 0.0000 0.0000 3.3024
Dy 0.0000 0.0000 16.2367
Re 0.0000 0.0000 13.1139
Tc 0.0000 -1.5071 5.8810
Tc -1.3052 0.7535 5.8810
Tc -1.3062 -0.7541 10.4017
Tc 0.0000 0.0000 8.1615
Tc 1.3052 0.7535 5.8810
Tc 1.3062 -0.7541 10.4018
Tc 0.0000 1.5082 10.4018
Tc 0.0000 0.0000 21.1207
```

Peak list (10 most intense, 15 to 90 degrees two-theta, sorted by position)
2θ 33.76, I = 45; 2θ 39.82, I = 100; 2θ 41.66, I = 25; 2θ 60.39, I = 17; 2θ 64.48, I = 31; 2θ 71.01, I = 24; 2θ 80.98, I = 8; 2θ 84.61, I = 9; 2θ 84.70, I = 2; 2θ 85.85, I = 8


# 2
# FeB4
Computed powder XRD pattern, a wavelength of 1.5418 Å. Input: a DFT-relaxed cell (GGA-PBE, Alexandria).
No peak broadening, texture or thermal motion is included.

Crystal structure
```
10
Lattice="4.5157 0.0000 0.0000 0.0000 5.2846 0.0000 0.0000 0.0000 3.0036" Properties=species:S:1:pos:R:3 pbc="T T T"
Fe 0.0000 0.0000 0.0000
Fe 2.2579 2.6423 1.5018
B 0.7261 1.9745 0.0000
B 1.1252 3.6330 0.0000
B 1.1327 0.9908 1.5018
B 1.5317 4.6168 1.5018
B 2.9840 0.6678 1.5018
B 3.3830 4.2938 1.5018
B 3.3905 1.6515 0.0000
B 3.7896 3.3101 0.0000
```

Peak list (10 most intense, 15 to 90 degrees two-theta, sorted by position)
2θ 25.95, I = 100; 2θ 33.93, I = 20; 2θ 34.34, I = 30; 2θ 35.91, I = 69; 2θ 50.23, I = 38; 2θ 53.37, I = 21; 2θ 53.66, I = 41; 2θ 56.04, I = 16; 2θ 60.98, I = 19; 2θ 68.15, I = 12


# 3
# Nd6MgTl3
Computed powder XRD pattern, a wavelength of 1.5418 Å. Input: a DFT-relaxed cell (GGA-PBE, Alexandria).
No peak broadening, texture or thermal motion is included.

Crystal structure
```
20
Lattice="6.2891 -7.5885 0.0000 6.2891 7.5885 0.0000 0.0000 0.0000 6.7495" Properties=species:S:1:pos:R:3 pbc="T T T"
Nd 3.1442 3.1929 6.0808
Nd 6.2891 6.4556 3.3748
Nd 3.4764 0.4402 1.4911
Nd 3.4764 -0.4402 4.8658
Nd 6.2891 2.8686 1.7582
Nd 3.1442 -3.1929 2.7061
Nd 9.4341 3.1929 6.0808
Nd 6.2891 -2.8686 5.1329
Nd 9.1018 0.4402 1.4911
Nd 9.1018 -0.4402 4.8658
Nd 6.2891 -6.4556 0.0000
Nd 9.4341 -3.1929 2.7061
Mg 6.2891 3.6426 5.0213
Mg 6.2891 -3.6426 1.6465
Tl 4.8063 5.7512 0.2545
Tl 7.7720 5.7512 0.2545
Tl 6.2891 0.6943 6.0926
Tl 6.2891 -0.6943 2.7178
Tl 4.8063 -5.7512 3.6293
Tl 7.7720 -5.7512 3.6293
```

Peak list (10 most intense, 15 to 90 degrees two-theta, sorted by position)
2θ 16.01, I = 40; 2θ 28.00, I = 46; 2θ 30.29, I = 28; 2θ 30.54, I = 100; 2θ 32.33, I = 95; 2θ 33.59, I = 76; 2θ 35.60, I = 26; 2θ 37.13, I = 35; 2θ 37.99, I = 41; 2θ 62.67, I = 31


# 4
# Sm2Si6Ir9
Computed powder XRD pattern, a wavelength of 1.5418 Å. Input: a DFT-relaxed cell (GGA-PBE, Alexandria).
No peak broadening, texture or thermal motion is included.

Crystal structure
```
17
Lattice="5.6339 0.0000 0.0000 -2.8170 4.8791 0.0000 0.0000 0.0000 10.8186" Properties=species:S:1:pos:R:3 pbc="T T T"
Sm 0.0000 0.0000 2.0814
Sm 0.0000 0.0000 8.7373
Si 0.0000 3.2527 1.7981
Si 0.0000 3.2527 5.4093
Si 0.0000 3.2527 9.0205
Si 2.8170 1.6264 1.7981
Si 2.8170 1.6264 5.4093
Si 2.8170 1.6264 9.0205
Ir -1.4085 2.4396 0.0000
Ir -1.4085 2.4396 3.6026
Ir -1.4085 2.4396 7.2161
Ir 2.8170 0.0000 0.0000
Ir 2.8170 0.0000 3.6026
Ir 2.8170 0.0000 7.2161
Ir 1.4085 2.4396 0.0000
Ir 1.4085 2.4396 3.6026
Ir 1.4085 2.4396 7.2161
```

Peak list (10 most intense, 15 to 90 degrees two-theta, sorted by position)
2θ 18.18, I = 20; 2θ 24.69, I = 40; 2θ 30.83, I = 48; 2θ 36.84, I = 100; 2θ 40.64, I = 44; 2θ 44.86, I = 73; 2θ 56.01, I = 19; 2θ 64.24, I = 35; 2θ 66.37, I = 23; 2θ 87.98, I = 20


# 5
# Tb3InSn3
Computed powder XRD pattern, a wavelength of 1.5418 Å. Input: a DFT-relaxed cell (GGA-PBE, Alexandria).
No peak broadening, texture or thermal motion is included.

Crystal structure
```
14
Lattice="8.7961 0.0000 0.0000 -4.3980 7.6176 0.0000 0.0000 0.0000 5.6671" Properties=species:S:1:pos:R:3 pbc="T T T"
Tb -1.1584 3.3955 1.4168
Tb -0.8783 6.9231 1.4168
Tb 2.3614 2.7009 4.2504
Tb 2.0367 4.9167 1.4168
Tb 5.2763 0.6945 4.2504
Tb 5.5564 4.2222 4.2504
In 0.0000 5.0784 4.2504
In 4.3980 2.5392 1.4168
Sn -0.6392 1.9227 4.2504
Sn -2.4133 7.2098 4.2504
Sn 1.3455 1.5149 1.4168
Sn 3.0525 6.1027 4.2504
Sn 6.8114 0.4078 1.4168
Sn 5.0372 5.6949 1.4168
```

Peak list (10 most intense, 15 to 90 degrees two-theta, sorted by position)
2θ 31.06, I = 27; 2θ 31.57, I = 32; 2θ 34.95, I = 100; 2θ 44.88, I = 19; 2θ 55.26, I = 16; 2θ 58.43, I = 23; 2θ 65.05, I = 19; 2θ 67.08, I = 13; 2θ 74.67, I = 4; 2θ 84.64, I = 8


# 6
# Rb2ErZn2S4
Computed powder XRD pattern, a wavelength of 1.5418 Å. Input: a DFT-relaxed cell (GGA-PBE, Alexandria).
No peak broadening, texture or thermal motion is included.

Crystal structure
```
9
Lattice="7.9500 -1.9459 0.0000 7.9500 1.9459 0.0000 -3.1781 0.0000 7.4660" Properties=species:S:1:pos:R:3 pbc="T T T"
Rb 1.8513 0.0000 0.4467
Rb 10.8707 0.0000 7.0193
Er -1.5891 0.0000 3.7330
Zn 3.5262 0.0000 3.5668
Zn 9.1957 0.0000 3.8992
S 0.7029 0.0000 5.2462
S 5.1834 0.0000 5.2697
S 7.5386 0.0000 2.1962
S 12.0191 0.0000 2.2198
```

Peak list (10 most intense, 15 to 90 degrees two-theta, sorted by position)
2θ 22.09, I = 33; 2θ 23.66, I = 42; 2θ 23.84, I = 58; 2θ 28.86, I = 100; 2θ 31.16, I = 60; 2θ 32.04, I = 58; 2θ 33.13, I = 82; 2θ 34.45, I = 77; 2θ 46.68, I = 36; 2θ 52.92, I = 37


# 7
# K4Pr3ZrSe8
Computed powder XRD pattern, a wavelength of 1.5418 Å. Input: a DFT-relaxed cell (GGA-PBE, Alexandria).
No peak broadening, texture or thermal motion is included.

Crystal structure
```
16
Lattice="4.2658 2.4629 7.7331 -4.2658 2.4629 7.7331 0.0000 -4.9257 7.7331" Properties=species:S:1:pos:R:3 pbc="T T T"
K 0.0000 0.0000 0.0000
K -2.1329 -1.2314 7.7331
K -2.1329 1.2314 15.4661
K 0.0000 2.4629 7.7331
Pr -4.2658 0.0000 11.5996
Pr -2.1329 1.2314 3.8665
Pr 2.1329 1.2314 3.8665
Zr 0.0000 0.0000 11.5996
Se 0.0000 0.0000 5.5530
Se -1.9963 -1.1526 13.2022
Se 0.0000 -2.3052 9.9970
Se -1.9963 1.1526 9.9970
Se 1.9963 -1.1526 13.2022
Se 0.0000 2.3052 13.2022
Se 1.9963 1.1526 9.9970
Se 0.0000 0.0000 17.6462
```

Peak list (10 most intense, 15 to 90 degrees two-theta, sorted by position)
2θ 28.65, I = 100; 2θ 36.42, I = 16; 2θ 39.51, I = 35; 2θ 42.38, I = 35; 2θ 44.04, I = 10; 2θ 49.78, I = 10; 2θ 51.95, I = 18; 2θ 59.32, I = 10; 2θ 65.12, I = 11; 2θ 69.21, I = 14


# 8
# Na3PuB2O8
Computed powder XRD pattern, a wavelength of 1.5418 Å. Input: a DFT-relaxed cell (GGA-PBE, Alexandria).
No peak broadening, texture or thermal motion is included.

Crystal structure
```
14
Lattice="5.2913 0.0000 0.0000 -2.6456 4.5824 0.0000 0.0000 0.0000 7.1198" Properties=species:S:1:pos:R:3 pbc="T T T"
Na 0.0000 0.0000 0.0000
Na 0.0000 3.0549 5.3267
Na 2.6456 1.5275 1.7931
Pu 0.0000 0.0000 3.5599
B 0.0000 3.0549 1.7508
B 2.6456 1.5275 5.3691
O 0.0000 1.6514 2.3458
O -1.2155 3.7567 2.3458
O 0.0000 3.0549 0.3894
O 1.4301 0.8257 4.7741
O 1.2155 3.7567 2.3458
O 2.6456 1.5275 6.7304
O 3.8611 0.8257 4.7741
O 2.6456 2.9310 4.7741
```

Peak list (10 most intense, 15 to 90 degrees two-theta, sorted by position)
2θ 19.37, I = 64; 2θ 23.08, I = 100; 2θ 31.83, I = 64; 2θ 33.88, I = 39; 2θ 41.40, I = 21; 2θ 42.58, I = 22; 2θ 42.92, I = 18; 2θ 47.17, I = 28; 2θ 54.53, I = 22; 2θ 59.34, I = 21